# 1
Starting from a structure optimized by DFT (GGA-PBE), the powder diffractogram of Zr4GaC was calculated for λ = 1.5418 Å (Cu Kα).

Principal peaks in the range 10° ≤ 2θ ≤ 90°, in order of rising 2θ:
| 2θ (°) | I_rel | (hkl) |
| --- | --- | --- |
| 32.22 | 82 | 2 1 0 |
| 32.58 | 80 | 0 2 1 |
| 33.64 | 100 | 1 0 2 |
| 34.57 | 82 | 2 1 -1 |
| 34.94 | 62 | 1 1 -2 |
| 36.16 | 56 | 1 2 1 |
| 48.32 | 35 | 1 1 -3 |
| 49.68 | 32 | 3 1 1 |

Crystal structure
abc: 6.2444 6.1550 6.1231
angles: 90.00 94.25 90.00
Sites, in units of the cell vectors:
Zr1 0.1109 0.1583 0.1790
Zr2 0.1109 0.3417 0.6790
Zr3 0.3245 0.6240 0.0971
Zr4 0.3245 0.8760 0.5971
Zr5 0.6755 0.1240 0.4029
Zr6 0.6755 0.3760 0.9029
Zr7 0.8891 0.6583 0.3210
Zr8 0.8891 0.8417 0.8210
Ga1 0.5000 0.0000 0.0000
Ga2 0.5000 0.5000 0.5000
C1 0.0000 0.0000 0.5000
C2 0.0000 0.5000 0.0000



# 2
Starting from a structure optimized by DFT (GGA-PBE), the powder diffractogram of GdH7C2SO8 was calculated for λ = 1.5418 Å (Cu Kα).

Principal peaks in the range 10° ≤ 2θ ≤ 90°, in order of rising 2θ:
| 2θ (°) | I_rel | (hkl) |
| --- | --- | --- |
| 10.94 | 100 | 0 0 1 |
| 13.81 | 49 | 1 0 0 |
| 14.39 | 65 | 0 1 0 |
| 16.61 | 40 | 1 0 -1 |
| 21.23 | 48 | 0 1 2 |
| 23.04 | 29 | 1 -1 0 |
| 28.22 | 29 | 2 1 1 |
| 29.07 | 38 | 0 2 2 |

Crystal structure
abc: 6.7761 6.9817 8.7350
angles: 68.79 89.65 72.28
Sites, in units of the cell vectors:
Gd1 0.1197 0.1444 0.1315
Gd2 0.8803 0.8556 0.8685
H1 0.0690 0.5251 0.7105
H2 0.1167 0.2916 0.4263
H3 0.1787 0.8199 0.5017
H4 0.4054 0.8209 0.4422
H5 0.4253 0.4408 0.8248
H6 0.4254 0.5363 0.3435
H7 0.4951 0.3242 0.2609
H8 0.5049 0.6758 0.7391
H9 0.5746 0.4637 0.6565
H10 0.5747 0.5592 0.1752
H11 0.5946 0.1791 0.5578
H12 0.8213 0.1801 0.4983
H13 0.8833 0.7084 0.5737
H14 0.9310 0.4749 0.2895
C1 0.2578 0.6186 0.1130
C2 0.4498 0.4983 0.2323
C3 0.5502 0.5017 0.7677
C4 0.7422 0.3814 0.8870
S1 0.3003 0.0987 0.7482
S2 0.6997 0.9013 0.2518
O1 0.0052 0.3164 0.3402
O2 0.1624 0.9716 0.7414
O3 0.1697 0.8219 0.0787
O4 0.1769 0.5258 0.0397
O5 0.2113 0.2388 0.8447
O6 0.2538 0.8733 0.4071
O7 0.3152 0.2402 0.5768
O8 0.4882 0.0515 0.1701
O9 0.5118 0.9485 0.8299
O10 0.6848 0.7598 0.4232
O11 0.7462 0.1267 0.5929
O12 0.7887 0.7612 0.1553
O13 0.8231 0.4742 0.9603
O14 0.8303 0.1781 0.9213
O15 0.8376 0.0284 0.2586
O16 0.9948 0.6836 0.6598